Simulated X-ray diffraction stick pattern
Compound: Rb4Sm3AlO8
Radiation: Cu Kα
Structure: a crystal structure in Alexandria, relaxed with PBE
Peak positions follow from Bragg's law for the DFT cell and can differ from measured ones.

Main lines, sorted by position (5 to 70 degrees two-theta):
index	2theta	I (rel.)
0 0 1	13.45	24
0 0 2	27.10	70
4 0 -2	30.53	43
2 2 0	30.99	81
4 0 0	33.91	58
2 2 -2	35.11	100
2 2 2	47.40	38
4 0 -4	47.67	17
6 2 -2	51.75	34
2 2 -4	55.98	21

```
data_Rb4Sm3AlO8
_chemical_formula_sum 'Rb8 Sm6 Al2 O16'
_space_group_name_H-M_alt 'C 1 2/m 1'
_space_group_IT_number 12
_cell_length_a 12.350
_cell_length_b 6.886
_cell_length_c 7.688
_cell_angle_alpha 90.00
_cell_angle_beta 121.11
_cell_angle_gamma 90.00
loop_
_space_group_symop_operation_xyz
'x,y,z'
'-x,-y,-z'
'-x,y,-z'
'x,-y,z'
'x+1/2,y+1/2,z'
'-x+1/2,-y+1/2,-z'
'-x+1/2,y+1/2,-z'
'x+1/2,-y+1/2,z'
loop_
_atom_site_label
_atom_site_fract_x
_atom_site_fract_y
_atom_site_fract_z
Rb1 0.000 0.000 0.000
Rb2 0.000 0.500 0.000
Rb3 0.250 0.250 0.000
Sm1 0.000 0.000 0.500
Sm2 0.250 0.250 0.500
Al1 0.000 0.500 0.500
O1 0.022 0.291 0.345
O2 0.221 0.000 0.681
O3 0.249 0.500 0.703
```